1.
Computed PXRD pattern of Th5Sb5Te for Cu Kα (weighted mean of Kα1 and Kα2), from a crystal structure in Alexandria, relaxed with PBE.

Peak list (10 most intense, 10° ≤ 2θ ≤ 80°, most intense first)
d/Å  I/Imax
3.174  100
2.242  96
3.161  49
1.419  27
1.833  21
1.827  21
2.234  19
1.296  13
1.415  13
1.587  13

Crystal structure
Cell: 7.740 7.740 8.979 Å, 106.65 106.65 48.42°
Atoms (fractional coordinates):
Th  0.000  0.000  0.000
Th  0.332  0.332  0.660
Th  0.333  0.333  0.174
Th  0.667  0.667  0.826
Th  0.668  0.668  0.340
Sb  0.160  0.160  0.338
Sb  0.165  0.165  0.829
Sb  0.500  0.500  0.500
Sb  0.835  0.835  0.171
Sb  0.840  0.840  0.662
Te  0.500  0.500  0.000



2.
Computed PXRD pattern of Rb2NbAgS4 for Cu Kα (weighted mean of Kα1 and Kα2), from a crystal structure in Alexandria, relaxed with PBE.

Peak list (10 most intense, 10° ≤ 2θ ≤ 80°, most intense first)
d/Å  I/Imax
3.479  100
6.025  92
3.335  53
2.396  42
2.745  41
2.010  28
1.974  26
2.917  25
1.834  23
2.407  16

Crystal structure
Cell: 13.910 12.403 7.582 Å, 84.56 62.58 32.86°
Atoms (fractional coordinates):
Rb  0.054  0.054  0.696
Rb  0.304  0.304  0.946
Rb  0.696  0.696  0.054
Rb  0.946  0.946  0.304
Nb  0.125  0.125  0.125
Nb  0.875  0.875  0.875
Ag  0.375  0.375  0.375
Ag  0.625  0.625  0.625
S  0.064  0.297  0.383
S  0.245  0.617  0.703
S  0.297  0.064  0.755
S  0.383  0.755  0.064
S  0.617  0.245  0.936
S  0.703  0.936  0.245
S  0.755  0.383  0.297
S  0.936  0.703  0.617